No. 1
Calculated powder XRD pattern
Compound: AcLa3Pr7
Radiation: Cu Kα
Structure: a cell relaxed with PBE
No peak broadening, texture or thermal motion is included.

Largest 10 diffraction maxima, sorted by position, 10 to 90 degrees two-theta:
22.59 deg, intensity 22.1
26.93 deg, intensity 25.8
29.29 deg, intensity 95.3
29.57 deg, intensity 100.0
30.29 deg, intensity 90.4
31.66 deg, intensity 71.6
36.01 deg, intensity 65.0
48.51 deg, intensity 25.2
50.76 deg, intensity 22.2
61.82 deg, intensity 22.1

```
11
Lattice="6.065 -5.188 0.000 6.065 5.188 0.000 -0.602 0.000 6.706" Properties=species:S:1:pos:R:3 pbc="T T T"
Ac 0.000 0.000 0.000
La 5.765 1.821 3.353
La 6.065 0.000 0.000
La 5.765 -1.821 3.353
Pr -0.301 0.000 3.353
Pr 2.550 1.820 5.096
Pr 3.064 0.000 1.995
Pr 2.550 -1.820 5.096
Pr 8.979 1.820 1.610
Pr 8.465 0.000 4.711
Pr 8.979 -1.820 1.610
```

---

No. 2
Calculated powder XRD pattern
Compound: La5Sm2Dy
Radiation: Cu Kα
Structure: a cell relaxed with PBE
No peak broadening, texture or thermal motion is included.

Largest 10 diffraction maxima, sorted by position, 10 to 90 degrees two-theta:
29.12 deg, intensity 9.7
29.27 deg, intensity 100.0
31.34 deg, intensity 58.7
38.63 deg, intensity 9.5
45.79 deg, intensity 10.0
50.56 deg, intensity 10.5
56.78 deg, intensity 9.6
58.51 deg, intensity 25.0
58.76 deg, intensity 9.9
64.22 deg, intensity 12.0

```
16
Lattice="-4.513 4.513 6.992 4.513 -4.513 6.992 4.513 4.513 -6.992" Properties=species:S:1:pos:R:3 pbc="T T T"
La 0.000 0.000 0.000
La 3.161 -1.353 2.320
La 5.866 -1.353 4.673
La 5.866 1.353 2.320
La 3.161 1.353 4.673
La 0.000 0.000 6.992
La 1.353 3.161 2.320
La -1.353 3.161 4.673
La -1.353 5.866 2.320
La 1.353 5.866 4.673
Sm 3.191 1.322 0.000
Sm 3.191 -1.322 6.992
Sm 1.322 5.836 0.000
Sm 1.322 3.191 6.992
Dy 0.000 0.000 3.496
Dy 0.000 0.000 10.489
```

---

No. 3
Calculated powder XRD pattern
Compound: Tb2Pm2Nd
Radiation: Cu Kα
Structure: a cell relaxed with PBE
No peak broadening, texture or thermal motion is included.

Largest 10 diffraction maxima, sorted by position, 10 to 90 degrees two-theta:
29.04 deg, intensity 31.2
30.36 deg, intensity 45.9
30.93 deg, intensity 100.0
33.86 deg, intensity 76.0
37.63 deg, intensity 17.0
50.26 deg, intensity 34.0
52.34 deg, intensity 23.7
58.08 deg, intensity 15.6
59.86 deg, intensity 40.1
84.81 deg, intensity 21.3

```
5
Lattice="3.630 0.000 0.000 -1.815 3.144 0.000 0.000 0.000 14.720" Properties=species:S:1:pos:R:3 pbc="T T T"
Tb 0.000 2.096 4.415
Tb 1.815 1.048 10.305
Pm 0.000 2.096 13.219
Pm 1.815 1.048 1.500
Nd 0.000 0.000 7.360
```

---

Copy entry 3 word for word.
Calculated powder XRD pattern
Compound: Tb2Pm2Nd
Radiation: Cu Kα
Structure: a cell relaxed with PBE
No peak broadening, texture or thermal motion is included.

Largest 10 diffraction maxima, sorted by position, 10 to 90 degrees two-theta:
29.04 deg, intensity 31.2
30.36 deg, intensity 45.9
30.93 deg, intensity 100.0
33.86 deg, intensity 76.0
37.63 deg, intensity 17.0
50.26 deg, intensity 34.0
52.34 deg, intensity 23.7
58.08 deg, intensity 15.6
59.86 deg, intensity 40.1
84.81 deg, intensity 21.3

```
5
Lattice="3.630 0.000 0.000 -1.815 3.144 0.000 0.000 0.000 14.720" Properties=species:S:1:pos:R:3 pbc="T T T"
Tb 0.000 2.096 4.415
Tb 1.815 1.048 10.305
Pm 0.000 2.096 13.219
Pm 1.815 1.048 1.500
Nd 0.000 0.000 7.360
```